Simulated powder diffraction line list
Compound: KAl4Fe3H2O12
Radiation: Cu Kα X-rays
Structure: a DFT-relaxed cell (PBE+U, Alexandria)
Peak positions follow from Bragg's law for the DFT cell and can differ from measured ones.

Crystal structure
```
22
Lattice="2.7200 -4.7103 0.0000 2.7200 4.7103 0.0000 -1.8651 0.0000 10.3756" Properties=species:S:1:pos:R:3 pbc="T T T"
K 0.0000 0.0000 0.0000
Al 0.8561 1.5665 8.0950
Al 2.7188 1.5665 2.2806
Al 0.8561 -1.5665 8.0950
Al 2.7188 -1.5665 2.2806
Fe 1.7874 3.0719 5.1878
Fe 1.7874 0.0000 5.1878
Fe 1.7874 -3.0719 5.1878
H -0.0828 0.0000 3.1890
H 3.6576 0.0000 7.1866
O 1.6850 2.9176 1.9337
O -0.0522 0.0000 4.1793
O 0.8672 1.5458 6.1766
O 1.8899 2.9176 8.4419
O 2.0813 0.0000 1.8912
O 2.7077 1.5458 4.1990
O 0.8672 -1.5458 6.1766
O 1.4935 0.0000 8.4844
O 1.6850 -2.9176 1.9337
O 2.7077 -1.5458 4.1990
O 3.6270 0.0000 6.1963
O 1.8899 -2.9176 8.4419
```

Largest 10 diffraction maxima, in order of falling intensity, 10 to 90 degrees two-theta:
2θ (°), Rel. int.
33.4, 100
25.8, 55
58.8, 46
40.4, 30
36.0, 27
34.6, 20
44.3, 19
53.1, 18
46.2, 17
40.6, 15